[1]
Simulated powder X-ray diffraction pattern
Compound: KMg2H
Radiation: a wavelength of 1.5418 Å
Structure: a cell relaxed with PBE

Most intense lines, 2θ from 15° to 90°, low angle first:
- d 3.364, rel. 50.0, hkl 2 2 0
- d 2.869, rel. 100.0, hkl 3 1 1
- d 2.747, rel. 27.3, hkl 2 2 2
- d 1.942, rel. 17.4, hkl 4 2 2
- d 1.831, rel. 32.7, hkl 5 1 1
- d 1.682, rel. 27.6, hkl 4 4 0
- d 1.451, rel. 10.8, hkl 5 3 3
- d 1.435, rel. 10.2, hkl 6 2 2
- d 1.239, rel. 18.2, hkl 7 3 1
- d 1.099, rel. 9.6, hkl 7 5 1

Structure:
a = 9.516 Å, b = 9.516 Å, c = 9.516 Å
α = 90.00°, β = 90.00°, γ = 90.00°
Space group Fd-3m (No. 227, origin choice 2)
Symmetry-distinct sites (fractional):
K  0.125  0.125  0.125 (multiplicity 8)
Mg  0.000  0.000  0.500 (multiplicity 16)
H  0.125  0.125  0.625 (multiplicity 8)

***

[2]
Simulated powder X-ray diffraction pattern
Compound: K3Mg2H7
Radiation: a wavelength of 1.5418 Å
Structure: a cell relaxed with PBE

Most intense lines, 2θ from 15° to 90°, low angle first:
- d 3.914, rel. 19.8, hkl 0 0 1
- d 3.182, rel. 19.2, hkl 0 4 1
- d 2.968, rel. 100.0, hkl 1 5 0
- d 2.790, rel. 94.5, hkl 1 1 1
- d 2.666, rel. 74.5, hkl 0 6 1
- d 2.022, rel. 21.1, hkl 2 0 0
- d 1.957, rel. 18.9, hkl 0 0 2
- d 1.634, rel. 29.5, hkl 1 5 2
- d 1.623, rel. 36.0, hkl 1 11 1
- d 1.611, rel. 28.4, hkl 2 6 1

Structure:
a = 4.044 Å, b = 21.852 Å, c = 3.914 Å
α = 90.00°, β = 90.00°, γ = 90.00°
Space group Cmmm (No. 65)
Symmetry-distinct sites (fractional):
K  0.000  0.000  0.000 (multiplicity 2)
K  0.000  0.181  0.000 (multiplicity 4)
Mg  0.000  0.407  0.500 (multiplicity 4)
H  0.000  0.092  0.500 (multiplicity 4)
H  0.000  0.316  0.500 (multiplicity 4)
H  0.000  0.408  0.000 (multiplicity 4)
H  0.000  0.500  0.500 (multiplicity 2)

***

[3]
Simulated powder X-ray diffraction pattern
Compound: K4Mg3H10
Radiation: a wavelength of 1.5418 Å
Structure: a cell relaxed with PBE

Most intense lines, 2θ from 15° to 90°, low angle first:
- d 2.899, rel. 100.0, hkl 1 0 7
- d 2.830, rel. 54.7, hkl 1 1 0
- d 2.103, rel. 7.2, hkl 0 0 14
- d 2.001, rel. 20.7, hkl 2 0 0
- d 1.688, rel. 11.8, hkl 1 1 14
- d 1.647, rel. 32.5, hkl 2 1 7
- d 1.450, rel. 7.4, hkl 2 0 14
- d 1.415, rel. 6.5, hkl 2 2 0
- d 1.272, rel. 6.3, hkl 3 0 7
- d 1.266, rel. 7.7, hkl 3 1 0

Structure:
a = 4.002 Å, b = 4.002 Å, c = 29.435 Å
α = 90.00°, β = 90.00°, γ = 90.00°
Space group I4/mmm (No. 139)
Symmetry-distinct sites (fractional):
K  0.000  0.000  0.068 (multiplicity 4)
K  0.000  0.000  0.202 (multiplicity 4)
Mg  0.000  0.000  0.364 (multiplicity 4)
Mg  0.000  0.000  0.500 (multiplicity 2)
H  0.000  0.000  0.296 (multiplicity 4)
H  0.000  0.000  0.432 (multiplicity 4)
H  0.000  0.500  0.000 (multiplicity 4)
H  0.000  0.500  0.136 (multiplicity 8)

***

> Number 2 is which compound?

K3Mg2H7